Starting from DFT lattice parameters and positions (GGA-PBE), the PXRD pattern of Cu4Ag was computed for CuKα.
Lines closer than 0.1° are merged.

Top 10 peaks for 2θ = 10–90°, in order of rising 2θ:
| Position (°2θ) | d (Å) | I/Imax | index |
| --- | --- | --- | --- |
| 41.89 | 2.157 | 100 | 1 1 -2 |
| 48.25 | 1.886 | 16 | 4 0 2 |
| 48.65 | 1.871 | 16 | 6 0 -2 |
| 49.37 | 1.846 | 15 | 0 2 0 |
| 71.52 | 1.319 | 10 | 4 2 2 |
| 71.83 | 1.314 | 9 | 6 2 -2 |
| 85.53 | 1.135 | 5 | 3 1 4 |
| 86.13 | 1.129 | 5 | 7 1 -4 |
| 86.34 | 1.127 | 5 | 11 1 -2 |
| 87.32 | 1.117 | 11 | 1 3 -2 |

a = 13.5065 Å, b = 3.6917 Å, c = 5.3234 Å
α = 90.00°, β = 100.92°, γ = 90.00°
Space group C2/m (No. 12)
Unique sites:
Cu 0.0043 0.0000 0.2530 [4 per cell]
Cu 0.0935 0.5000 0.0542 [4 per cell]
Cu 0.0949 0.5000 0.5368 [4 per cell]
Cu 0.1959 0.0000 0.3511 [4 per cell]
Ag 0.1948 0.0000 0.8397 [4 per cell]

Starting from DFT lattice parameters and positions (GGA-PBE), the PXRD pattern of Nd3InBrCl2 was computed for CuKα.
Lines closer than 0.1° are merged.

Top 10 peaks for 2θ = 10–90°, in order of rising 2θ:
| Position (°2θ) | d (Å) | I/Imax | index |
| --- | --- | --- | --- |
| 14.63 | 6.054 | 34 | 1 0 0 |
| 14.82 | 5.977 | 37 | 0 0 1 |
| 29.51 | 3.027 | 100 | 2 0 0 |
| 29.90 | 2.988 | 48 | 0 0 2 |
| 33.15 | 2.703 | 31 | 2 0 1 |
| 42.22 | 2.141 | 37 | 2 2 0 |
| 42.51 | 2.127 | 73 | 2 0 2 |
| 52.59 | 1.740 | 38 | 2 2 2 |
| 69.42 | 1.354 | 16 | 4 2 0 |
| 77.39 | 1.233 | 24 | 4 2 2 |

a = 6.0544 Å, b = 6.0544 Å, c = 5.9768 Å
α = 90.00°, β = 90.00°, γ = 90.00°
Space group P4/mmm (No. 123)
Unique sites:
Nd 0.0000 0.0000 0.0000 [1 per cell]
Nd 0.0000 0.5000 0.5000 [2 per cell]
In 0.0000 0.0000 0.5000 [1 per cell]
Br 0.5000 0.5000 0.5000 [1 per cell]
Cl 0.0000 0.5000 0.0000 [2 per cell]

Starting from DFT lattice parameters and positions (GGA-PBE), the PXRD pattern of Tm8Ir was computed for CuKα.
Lines closer than 0.1° are merged.

Top 10 peaks for 2θ = 10–90°, in order of rising 2θ:
| Position (°2θ) | d (Å) | I/Imax | index |
| --- | --- | --- | --- |
| 30.69 | 2.913 | 61 | 2 1 0 |
| 31.70 | 2.822 | 100 | 1 1 1 |
| 33.82 | 2.650 | 78 | 2 0 1 |
| 34.92 | 2.569 | 71 | 3 0 0 |
| 39.58 | 2.277 | 61 | 2 1 1 |
| 49.96 | 1.825 | 20 | 0 0 2 |
| 57.95 | 1.591 | 42 | 3 2 1 |
| 59.79 | 1.547 | 19 | 2 1 2 |
| 60.62 | 1.528 | 16 | 4 1 1 |
| 62.41 | 1.488 | 27 | 3 0 2 |

a = 8.8999 Å, b = 8.8999 Å, c = 3.6508 Å
α = 90.00°, β = 90.00°, γ = 120.00°
Space group P-62m (No. 189)
Unique sites:
Tm 0.0000 0.2420 0.0000 [3 per cell]
Tm 0.0000 0.6184 0.5000 [3 per cell]
Tm 0.3333 0.6667 0.0000 [2 per cell]
Ir 0.0000 0.0000 0.5000 [1 per cell]

Which formula does entry 3 have?
Tm8Ir